(1)
For ErTmS2Br2, a structure optimized by DFT (PBE) gives the computed powder diffractogram in this record (Cu Kα).

Main lines, in order of rising 2θ (15 to 90 degrees two-theta):
hkl 0 1 1, 2θ = 19.38°, intensity 1000
hkl 1 1 1, 2θ = 29.64°, intensity 430
hkl 1 0 2, 2θ = 29.83°, intensity 867
hkl 0 2 0, 2θ = 33.73°, intensity 342
hkl 1 0 3, 2θ = 37.38°, intensity 125
hkl 0 0 4, 2θ = 39.93°, intensity 147
hkl 1 1 3, 2θ = 41.19°, intensity 406
hkl 2 0 0, 2θ = 45.30°, intensity 148
hkl 1 2 2, 2θ = 45.64°, intensity 528
hkl 2 1 1, 2θ = 49.71°, intensity 170
hkl 0 2 4, 2θ = 53.24°, intensity 127
hkl 2 2 0, 2θ = 57.66°, intensity 143

Structure:
```
6
Lattice="4.0034 0.0000 0.0000 0.0000 5.3146 0.0000 0.0000 0.0000 9.0308" Properties=species:S:1:pos:R:3 pbc="T T T"
Er 0.0000 0.0000 0.0000
Tm 2.0017 2.6573 2.2587
S 0.0000 2.6573 0.4348
S 2.0017 0.0000 1.8425
Br 0.0000 2.6573 4.2015
Br 2.0017 0.0000 7.0723
```

(2)
For ErZrS2Br2, a structure optimized by DFT (PBE) gives the computed powder diffractogram in this record (Cu Kα).

Main lines, in order of rising 2θ (15 to 90 degrees two-theta):
hkl 0 1 1, 2θ = 19.71°, intensity 1000
hkl 1 1 1, 2θ = 30.65°, intensity 516
hkl 1 0 2, 2θ = 31.00°, intensity 963
hkl 0 2 0, 2θ = 34.18°, intensity 407
hkl 1 0 3, 2θ = 38.74°, intensity 169
hkl 0 0 4, 2θ = 41.15°, intensity 160
hkl 1 1 3, 2θ = 42.54°, intensity 294
hkl 1 2 2, 2θ = 46.81°, intensity 594
hkl 2 0 0, 2θ = 47.50°, intensity 157
hkl 2 1 1, 2θ = 51.90°, intensity 155
hkl 0 2 4, 2θ = 54.53°, intensity 138
hkl 2 2 0, 2θ = 59.81°, intensity 155

Structure:
```
6
Lattice="3.8284 0.0000 0.0000 0.0000 5.2468 0.0000 0.0000 0.0000 8.7742" Properties=species:S:1:pos:R:3 pbc="T T T"
Er 0.0000 0.0000 0.0000
Zr 1.9142 2.6234 1.9694
S 0.0000 2.6234 0.2014
S 1.9142 0.0000 1.9350
Br 0.0000 2.6234 3.9359
Br 1.9142 0.0000 6.7570
```

(3)
For Pr3GaBrF2, a structure optimized by DFT (PBE) gives the computed powder diffractogram in this record (Cu Kα).

Main lines, in order of rising 2θ (15 to 90 degrees two-theta):
hkl 1 0 0, 2θ = 15.26°, intensity 245
hkl 0 0 1, 2θ = 16.28°, intensity 399
hkl 1 0 1, 2θ = 22.38°, intensity 264
hkl 1 1 1, 2θ = 27.20°, intensity 368
hkl 2 0 0, 2θ = 30.79°, intensity 1000
hkl 0 0 2, 2θ = 32.89°, intensity 419
hkl 2 0 1, 2θ = 35.02°, intensity 243
hkl 2 2 0, 2θ = 44.11°, intensity 366
hkl 2 0 2, 2θ = 45.67°, intensity 661
hkl 2 2 2, 2θ = 56.10°, intensity 354
hkl 4 2 0, 2θ = 72.83°, intensity 159
hkl 4 2 2, 2θ = 82.25°, intensity 230

Structure:
```
7
Lattice="5.8075 0.0000 0.0000 0.0000 5.8075 0.0000 0.0000 0.0000 5.4462" Properties=species:S:1:pos:R:3 pbc="T T T"
Pr 0.0000 0.0000 0.0000
Pr 0.0000 2.9038 2.7231
Pr 2.9038 0.0000 2.7231
Ga 0.0000 0.0000 2.7231
Br 2.9038 2.9038 2.7231
F 0.0000 2.9038 0.0000
F 2.9038 0.0000 0.0000
```

(4)
For K3HfBrF6, a structure optimized by DFT (PBE) gives the computed powder diffractogram in this record (Cu Kα).

Main lines, in order of rising 2θ (15 to 90 degrees two-theta):
hkl 1 1 0, 2θ = 15.62°, intensity 349
hkl 1 1 1, 2θ = 21.71°, intensity 1000
hkl 2 0 0, 2θ = 22.16°, intensity 582
hkl 2 0 1, 2θ = 26.86°, intensity 354
hkl 0 0 2, 2θ = 30.23°, intensity 296
hkl 2 2 0, 2θ = 31.55°, intensity 538
hkl 2 0 2, 2θ = 37.81°, intensity 272
hkl 3 1 1, 2θ = 38.62°, intensity 581
hkl 2 2 2, 2θ = 44.26°, intensity 408
hkl 4 2 0, 2θ = 50.91°, intensity 227
hkl 4 0 2, 2θ = 55.36°, intensity 204
hkl 4 2 2, 2θ = 60.36°, intensity 284

Structure:
```
22
Lattice="8.0212 0.0000 0.0000 0.0000 8.0212 0.0000 0.0000 0.0000 5.9122" Properties=species:S:1:pos:R:3 pbc="T T T"
K 0.0000 0.0000 0.0000
K 1.4181 2.5925 2.9561
K 2.5925 6.6031 2.9561
K 4.0106 4.0106 0.0000
K 5.4286 1.4181 2.9561
K 6.6031 5.4286 2.9561
Hf 0.0000 4.0106 0.0000
Hf 4.0106 0.0000 0.0000
Br 0.0000 0.0000 2.9561
Br 4.0106 4.0106 2.9561
F 0.9599 4.9705 1.4692
F 0.9599 4.9705 4.4430
F 1.4101 2.6005 0.0000
F 2.6005 6.6111 0.0000
F 3.0507 0.9599 1.4692
F 3.0507 0.9599 4.4430
F 4.9705 7.0613 1.4692
F 4.9705 7.0613 4.4430
F 5.4207 1.4101 0.0000
F 6.6111 5.4207 0.0000
F 7.0613 3.0507 1.4692
F 7.0613 3.0507 4.4430
```